CaCoOs2O8: theoretical powder diffractogram (Cu Kα (weighted mean of Kα1 and Kα2)), based on a GGA+U-relaxed structure.
No peak broadening, texture or thermal motion is included.

Structural model:
Cell lengths 6.6384, 6.8869, 6.3329 Å; angles 90.00, 90.00, 90.00 degrees
Space group Cmmm (No. 65)
Inequivalent atoms, fractional coordinates:
Ca (0.0000, 0.0000, 0.0000) [2 per cell]
Co (0.0000, 0.0000, 0.5000) [2 per cell]
Os (0.0000, 0.5000, 0.2568) [4 per cell]
O (0.0000, 0.3087, 0.5000) [4 per cell]
O (0.0000, 0.3299, 0.0000) [4 per cell]
O (0.2247, 0.0000, 0.2726) [8 per cell]

Most intense lines, 10 to 80 degrees two-theta, by intensity:
d_spacing  two_theta  intensity  hkl
2.640  33.96  100  1 1 2
4.779  18.56  92  1 1 0
3.443  25.87  67  0 2 0
3.319  26.86  56  2 0 0
1.790  51.03  45  1 3 2
1.754  52.15  35  3 1 2
2.390  37.64  28  2 2 0
2.331  38.63  25  0 2 2